Entry 1:
The following is a theoretical X-ray powder pattern of NaCoCuC. It was derived from the PBE geometry in Alexandria, using Cu Kα, 1.54184 Å.
Neutral-atom scattering factors, no anomalous dispersion.

The 10 most intense peaks (2θ = 10–90°), by angle:
| d [Å] | 2θ (°) | Rel. int. | hkl |
| --- | --- | --- | --- |
| 4.967 | 17.86 | 100 | 0 0 1 |
| 2.696 | 33.23 | 8 | 1 1 0 |
| 2.485 | 36.14 | 60 | 0 0 2 |
| 2.267 | 39.77 | 14 | 1 1 1 |
| 2.236 | 40.34 | 16 | 4 0 -1 |
| 2.035 | 44.51 | 11 | 3 1 -1 |
| 1.999 | 45.38 | 25 | 3 1 0 |
| 1.786 | 51.14 | 13 | 3 1 -2 |
| 1.714 | 53.46 | 8 | 3 1 1 |
| 1.398 | 66.92 | 8 | 3 1 2 |

Cell and atoms:
a b c (Å): 8.974 2.846 5.292
angles (deg): 90.00 110.20 90.00
Space group Cm (No. 8)
One atom of each set of equivalent atoms:
Na 0.000 0.000 0.000 [2 per cell]
Co 0.105 0.500 0.518 [2 per cell]
Cu 0.330 0.000 0.479 [2 per cell]
C 0.488 0.500 0.501 [2 per cell]


Entry 2:
The following is a theoretical X-ray powder pattern of Dy2Fe15Co2C. It was derived from the PBE geometry in Alexandria, using Cu Kα, 1.54184 Å.
Neutral-atom scattering factors, no anomalous dispersion.

The 10 most intense peaks (2θ = 10–90°), by angle:
| d [Å] | 2θ (°) | Rel. int. | hkl |
| --- | --- | --- | --- |
| 2.966 | 30.13 | 46 | 2 2 -1 |
| 2.466 | 36.43 | 42 | 1 3 1 |
| 2.452 | 36.64 | 22 | 2 0 2 |
| 2.369 | 37.98 | 46 | 2 2 -2 |
| 2.140 | 42.24 | 35 | 0 4 0 |
| 2.128 | 42.49 | 68 | 2 2 2 |
| 2.116 | 42.73 | 100 | 3 3 0 |
| 2.111 | 42.85 | 26 | 4 0 1 |
| 2.104 | 42.99 | 25 | 0 0 3 |
| 2.059 | 43.98 | 63 | 4 0 -2 |

Cell and atoms:
a b c (Å): 9.604 8.559 6.394
angles (deg): 90.00 99.19 90.00
Space group C2/m (No. 12)
One atom of each set of equivalent atoms:
Dy 0.161 0.000 0.349 [4 per cell]
Fe 0.000 0.213 0.000 [4 per cell]
Fe 0.000 0.500 0.500 [2 per cell]
Fe 0.098 0.254 0.655 [8 per cell]
Fe 0.143 0.355 0.288 [8 per cell]
Fe 0.157 0.000 0.847 [4 per cell]
Fe 0.250 0.250 0.000 [4 per cell]
Co 0.094 0.500 0.905 [4 per cell]
C 0.000 0.000 0.000 [2 per cell]


Entry 3:
The following is a theoretical X-ray powder pattern of Dy2Fe15Co2CN. It was derived from the PBE geometry in Alexandria, using Cu Kα, 1.54184 Å.
Neutral-atom scattering factors, no anomalous dispersion.

The 10 most intense peaks (2θ = 10–90°), by angle:
| d [Å] | 2θ (°) | Rel. int. | hkl |
| --- | --- | --- | --- |
| 2.986 | 29.92 | 52 | 1 0 2 |
| 2.971 | 30.08 | 47 | 2 1 0 |
| 2.383 | 37.75 | 68 | 2 2 0 |
| 2.151 | 42.00 | 55 | 0 2 -2 |
| 2.139 | 42.25 | 91 | 2 0 -2 |
| 2.127 | 42.50 | 86 | 2 -2 0 |
| 2.121 | 42.62 | 73 | 0 3 0 |
| 2.117 | 42.72 | 38 | -1 2 2 |
| 2.111 | 42.84 | 39 | 3 0 0 |
| 2.075 | 43.63 | 100 | 2 2 2 |

Cell and atoms:
a b c (Å): 6.421 6.445 6.488
angles (deg): 83.41 83.11 82.76
Space group P-1 (No. 2)
One atom of each set of equivalent atoms:
Dy 0.161 0.151 0.159 [2 per cell]
Fe 0.000 0.500 0.500 [1 per cell]
Fe 0.153 0.155 0.644 [2 per cell]
Fe 0.155 0.648 0.160 [2 per cell]
Fe 0.213 0.502 0.785 [2 per cell]
Fe 0.213 0.786 0.503 [2 per cell]
Fe 0.351 0.844 0.841 [2 per cell]
Fe 0.498 0.219 0.782 [2 per cell]
Fe 0.500 0.000 0.500 [1 per cell]
Fe 0.500 0.500 0.000 [1 per cell]
Co 0.405 0.406 0.408 [2 per cell]
C 0.000 0.500 0.000 [1 per cell]
N 0.500 0.000 0.000 [1 per cell]


Entry 4:
The following is a theoretical X-ray powder pattern of DyTh2CoC2. It was derived from the PBE geometry in Alexandria, using Cu Kα, 1.54184 Å.
Neutral-atom scattering factors, no anomalous dispersion.

The 10 most intense peaks (2θ = 10–90°), by angle:
| d [Å] | 2θ (°) | Rel. int. | hkl |
| --- | --- | --- | --- |
| 3.516 | 25.33 | 13 | 0 1 1 |
| 3.095 | 28.85 | 40 | 1 3 0 |
| 2.864 | 31.23 | 34 | 2 0 0 |
| 2.711 | 33.04 | 100 | 1 2 1 |
| 1.897 | 47.97 | 16 | 0 5 1 |
| 1.855 | 49.12 | 11 | 0 0 2 |
| 1.622 | 56.74 | 20 | 3 2 1 |
| 1.591 | 57.97 | 12 | 1 3 2 |
| 1.581 | 58.35 | 17 | 2 5 1 |
| 1.557 | 59.37 | 11 | 2 0 2 |

Cell and atoms:
a b c (Å): 5.727 11.035 3.709
angles (deg): 90.00 90.00 90.00
Space group Pnnm (No. 58)
One atom of each set of equivalent atoms:
Dy 0.000 0.000 0.000 [2 per cell]
Th 0.020 0.298 0.500 [4 per cell]
Co 0.000 0.500 0.000 [2 per cell]
C 0.238 0.888 0.500 [4 per cell]


Entry 5:
The following is a theoretical X-ray powder pattern of ErCo7C2. It was derived from the PBE geometry in Alexandria, using Cu Kα, 1.54184 Å.
Neutral-atom scattering factors, no anomalous dispersion.

The 10 most intense peaks (2θ = 10–90°), by angle:
| d [Å] | 2θ (°) | Rel. int. | hkl |
| --- | --- | --- | --- |
| 5.224 | 16.97 | 32 | 1 1 0 |
| 3.122 | 28.59 | 33 | 1 1 1 |
| 2.399 | 37.49 | 58 | 2 0 1 |
| 2.356 | 38.19 | 100 | 1 3 1 |
| 2.127 | 42.49 | 36 | 0 4 1 |
| 1.949 | 46.61 | 78 | 0 0 2 |
| 1.773 | 51.56 | 32 | 3 1 1 |
| 1.741 | 52.56 | 22 | 3 3 0 |
| 1.378 | 68.04 | 25 | 2 4 2 |
| 1.130 | 86.05 | 18 | 3 7 1 |

Cell and atoms:
a b c (Å): 6.091 10.160 3.894
angles (deg): 90.00 90.00 90.00
Space group Cmmm (No. 65)
One atom of each set of equivalent atoms:
Er 0.000 0.000 0.000 [2 per cell]
Co 0.000 0.294 0.000 [4 per cell]
Co 0.000 0.500 0.500 [2 per cell]
Co 0.195 0.143 0.500 [8 per cell]
C 0.000 0.304 0.500 [4 per cell]


Entry 6:
The following is a theoretical X-ray powder pattern of Er2Co17C2. It was derived from the PBE geometry in Alexandria, using Cu Kα, 1.54184 Å.
Neutral-atom scattering factors, no anomalous dispersion.

The 10 most intense peaks (2θ = 10–90°), by angle:
| d [Å] | 2θ (°) | Rel. int. | hkl |
| --- | --- | --- | --- |
| 2.938 | 30.42 | 31 | 1 1 -2 |
| 2.914 | 30.68 | 55 | 3 1 0 |
| 2.431 | 36.97 | 58 | 1 3 1 |
| 2.340 | 38.48 | 45 | 2 2 -2 |
| 2.115 | 42.75 | 100 | 2 2 2 |
| 2.103 | 43.02 | 85 | 0 4 0 |
| 2.088 | 43.33 | 98 | 1 3 -2 |
| 2.080 | 43.51 | 69 | 3 3 0 |
| 2.037 | 44.49 | 45 | 2 0 -3 |
| 2.025 | 44.76 | 63 | 4 0 -2 |

Cell and atoms:
a b c (Å): 9.420 8.404 6.386
angles (deg): 90.00 98.63 90.00
Space group C2/m (No. 12)
One atom of each set of equivalent atoms:
Er 0.151 0.000 0.335 [4 per cell]
Co 0.000 0.212 0.000 [4 per cell]
Co 0.000 0.500 0.500 [2 per cell]
Co 0.097 0.500 0.906 [4 per cell]
Co 0.102 0.253 0.657 [8 per cell]
Co 0.140 0.357 0.281 [8 per cell]
Co 0.151 0.000 0.866 [4 per cell]
Co 0.250 0.250 0.000 [4 per cell]
C 0.250 0.250 0.500 [4 per cell]


Entry 7:
The following is a theoretical X-ray powder pattern of ErGaCo2C. It was derived from the PBE geometry in Alexandria, using Cu Kα, 1.54184 Å.
Neutral-atom scattering factors, no anomalous dispersion.

The 10 most intense peaks (2θ = 10–90°), by angle:
| d [Å] | 2θ (°) | Rel. int. | hkl |
| --- | --- | --- | --- |
| 3.544 | 25.13 | 13 | 1 1 0 |
| 3.444 | 25.87 | 14 | 0 0 2 |
| 2.573 | 34.87 | 25 | 1 3 0 |
| 2.470 | 36.38 | 100 | 0 4 1 |
| 2.410 | 37.31 | 52 | 1 3 1 |
| 2.106 | 42.94 | 13 | 0 2 3 |
| 1.881 | 48.40 | 20 | 2 0 0 |
| 1.713 | 53.49 | 15 | 1 3 3 |
| 1.496 | 62.03 | 14 | 2 4 1 |
| 1.403 | 66.68 | 13 | 1 7 0 |

Cell and atoms:
a b c (Å): 3.762 10.581 6.887
angles (deg): 90.00 90.00 90.00
Space group Cmcm (No. 63)
One atom of each set of equivalent atoms:
Er 0.000 0.049 0.250 [4 per cell]
Ga 0.000 0.230 0.750 [4 per cell]
Co 0.000 0.340 0.059 [8 per cell]
C 0.000 0.500 0.000 [4 per cell]


Entry 8:
The following is a theoretical X-ray powder pattern of ErCoC6N6. It was derived from the PBE geometry in Alexandria, using Cu Kα, 1.54184 Å.
Neutral-atom scattering factors, no anomalous dispersion.

The 10 most intense peaks (2θ = 10–90°), by angle:
| d [Å] | 2θ (°) | Rel. int. | hkl |
| --- | --- | --- | --- |
| 5.748 | 15.42 | 100 | 1 0 1 |
| 4.562 | 19.46 | 52 | 1 0 2 |
| 3.700 | 24.05 | 22 | 1 1 0 |
| 3.588 | 24.81 | 14 | 1 0 3 |
| 3.213 | 27.77 | 11 | 1 1 2 |
| 2.874 | 31.12 | 12 | 2 0 2 |
| 2.576 | 34.83 | 20 | 2 0 3 |
| 2.441 | 36.82 | 23 | 1 1 4 |
| 2.381 | 37.78 | 18 | 2 1 1 |
| 1.784 | 51.19 | 14 | 3 0 4 |

Cell and atoms:
a b c (Å): 7.4006 7.4006 12.9927
angles (deg): 90.00 90.00 120.00
Space group P6_3/mmc (No. 194)
One atom of each set of equivalent atoms:
Er 0.3333 0.6667 0.2500 [2 per cell]
Co 0.0000 0.0000 0.0000 [2 per cell]
C 0.1185 0.2370 0.0835 [12 per cell]
N 0.1919 0.3838 0.1371 [12 per cell]